Diffraction record for CsBeNiH6. The powder diffractogram is calculated, not measured: it uses a crystal structure in Alexandria, relaxed with GGA-PBE and Cu Kα (λ = 1.5418 Å).
No peak broadening, texture or thermal motion is included.

Main lines, in order of falling intensity (2θ from 10° to 90°):
2θ 28.01, I = 100.0, (1 0 1)
2θ 24.01, I = 25.8, (1 0 0)
2θ 51.83, I = 23.1, (2 -1 2)
2θ 42.23, I = 20.6, (1 1 0)
2θ 28.66, I = 20.1, (0 0 2)
2θ 50.37, I = 18.3, (1 0 3)
2θ 51.44, I = 17.0, (2 0 1)
2θ 37.72, I = 16.9, (1 0 2)

Structural model:
Unit cell a=4.280 b=4.280 c=6.229 alpha=90.00 beta=90.00 gamma=120.00
Positions (direct):
Cs  0.000  0.000  0.000
Be  0.333  0.667  0.500
Ni  0.667  0.333  0.500
H  0.439  0.005  0.654
H  0.439  0.435  0.346
H  0.565  0.005  0.346
H  0.565  0.561  0.654
H  0.995  0.435  0.654
H  0.995  0.561  0.346